Record 1
For RbBaTl6, a crystal structure in Alexandria, relaxed with GGA-PBE gives the calculated XRD peak list in this record (λ = 1.5418 Å (Cu Kα)).

The 8 most intense peaks (5 to 70 degrees two-theta), in order of falling intensity:
- 2θ 31.0, intensity 1000
- 2θ 31.2, intensity 499
- 2θ 13.0, intensity 333
- 2θ 33.5, intensity 307
- 2θ 58.4, intensity 255
- 2θ 26.0, intensity 250
- 2θ 43.1, intensity 183
- 2θ 58.2, intensity 179

Crystal structure
```
RbBaTl6
1.0
5.344 0.000 0.000
0.000 3.959 6.798
0.000 -3.959 6.798
Rb Ba Tl
1 1 6
Cartesian
0.000 0.000 0.000 Rb
2.672 0.000 9.109 Ba
0.000 -1.720 3.557 Tl
0.000 1.720 3.557 Tl
0.000 0.000 6.558 Tl
2.672 0.000 2.571 Tl
2.672 -1.707 5.547 Tl
2.672 1.707 5.547 Tl
```

***

Record 2
For Li8SmCd4, a crystal structure in Alexandria, relaxed with GGA-PBE gives the calculated XRD peak list in this record (λ = 1.5418 Å (Cu Kα)).

The 8 most intense peaks (5 to 70 degrees two-theta), in order of falling intensity:
- 2θ 26.2, intensity 1000
- 2θ 36.4, intensity 938
- 2θ 18.4, intensity 626
- 2θ 53.1, intensity 569
- 2θ 37.3, intensity 451
- 2θ 13.0, intensity 292
- 2θ 18.0, intensity 284
- 2θ 25.8, intensity 261

Crystal structure
```
Li8SmCd4
1.0
-4.817 4.817 2.878
4.817 -4.817 2.878
4.817 4.817 -2.878
Li Sm Cd
8 1 4
Cartesian
2.070 0.000 0.000 Li
7.564 0.000 0.000 Li
4.817 1.456 0.000 Li
0.000 2.070 0.000 Li
1.456 4.817 0.000 Li
3.361 0.000 2.878 Li
0.000 7.564 0.000 Li
0.000 3.361 2.878 Li
0.000 0.000 2.878 Sm
2.409 2.409 -1.439 Cd
2.409 -2.409 1.439 Cd
-2.409 2.409 1.439 Cd
2.409 2.409 1.439 Cd
```

***

Record 3
For Ca3Pr2Mg3, a crystal structure in Alexandria, relaxed with GGA-PBE gives the calculated XRD peak list in this record (λ = 1.5418 Å (Cu Kα)).

The 8 most intense peaks (5 to 70 degrees two-theta), in order of falling intensity:
- 2θ 7.4, intensity 1000
- 2θ 31.9, intensity 808
- 2θ 31.3, intensity 238
- 2θ 29.1, intensity 220
- 2θ 14.8, intensity 212
- 2θ 29.9, intensity 172
- 2θ 56.1, intensity 154
- 2θ 43.8, intensity 148

Crystal structure
```
Ca3Pr2Mg3
1.0
-1.905 2.858 11.965
1.905 -2.858 11.965
1.905 2.858 -11.965
Ca Pr Mg
3 2 3
Cartesian
0.000 0.000 0.000 Ca
1.905 0.000 8.997 Ca
0.000 2.858 2.968 Ca
0.000 0.000 5.584 Pr
0.000 0.000 18.346 Pr
1.905 0.000 2.794 Mg
0.000 0.000 11.965 Mg
0.000 2.858 9.171 Mg
```

***

Record 4
For Cd2GaAgSe4, a crystal structure in Alexandria, relaxed with GGA-PBE gives the calculated XRD peak list in this record (λ = 1.5418 Å (Cu Kα)).

The 8 most intense peaks (5 to 70 degrees two-theta), in order of falling intensity:
- 2θ 24.1, intensity 1000
- 2θ 25.4, intensity 813
- 2θ 42.1, intensity 795
- 2θ 27.5, intensity 534
- 2θ 23.8, intensity 448
- 2θ 45.5, intensity 416
- 2θ 42.5, intensity 416
- 2θ 46.4, intensity 345

Crystal structure
```
Cd2GaAgSe4
1.0
7.810 -2.126 0.000
7.810 2.126 0.000
-3.301 0.000 6.702
Cd Ga Ag Se
2 1 1 4
Cartesian
0.000 0.000 0.000 Cd
6.312 0.000 3.671 Cd
0.853 0.000 6.498 Ga
10.334 0.000 2.896 Ag
2.310 0.000 1.348 Se
6.384 0.000 0.890 Se
8.657 0.000 5.037 Se
12.679 0.000 4.126 Se
```

***

Record 5
For Pm4PdAu, a crystal structure in Alexandria, relaxed with GGA-PBE gives the calculated XRD peak list in this record (λ = 1.5418 Å (Cu Kα)).

The 8 most intense peaks (5 to 70 degrees two-theta), in order of falling intensity:
- 2θ 31.1, intensity 1000
- 2θ 37.1, intensity 735
- 2θ 39.8, intensity 462
- 2θ 32.4, intensity 457
- 2θ 61.8, intensity 302
- 2θ 54.7, intensity 277
- 2θ 50.3, intensity 260
- 2θ 35.5, intensity 252

Crystal structure
```
Pm4PdAu
1.0
7.156 0.000 0.000
0.000 7.156 0.000
0.000 0.000 6.599
Pm Pd Au
8 2 2
Cartesian
1.224 2.299 0.000 Pm
1.224 4.857 3.299 Pm
2.299 1.224 3.299 Pm
2.299 5.932 0.000 Pm
4.857 1.224 0.000 Pm
4.857 5.932 3.299 Pm
5.932 2.299 3.299 Pm
5.932 4.857 0.000 Pm
0.000 0.000 1.650 Pd
0.000 0.000 4.949 Pd
3.578 3.578 1.650 Au
3.578 3.578 4.949 Au
```

***

Record 6
For Co6NiRh2, a crystal structure in Alexandria, relaxed with GGA-PBE gives the calculated XRD peak list in this record (λ = 1.5418 Å (Cu Kα)).

The 8 most intense peaks (5 to 70 degrees two-theta), in order of falling intensity:
- 2θ 47.0, intensity 1000
- 2θ 38.5, intensity 864
- 2θ 41.2, intensity 801
- 2θ 68.8, intensity 246
- 2θ 53.3, intensity 235
- 2θ 44.0, intensity 196
- 2θ 50.1, intensity 179
- 2θ 37.9, intensity 142

Crystal structure
```
Co6NiRh2
1.0
4.751 0.000 0.000
-2.376 4.115 0.000
0.000 0.000 5.677
Co Ni Rh
6 1 2
Cartesian
0.000 1.419 0.966 Co
-1.147 3.405 0.966 Co
1.229 0.709 4.711 Co
1.147 3.405 0.966 Co
3.522 0.709 4.711 Co
2.376 2.696 4.711 Co
0.000 0.000 2.838 Ni
0.000 2.743 3.429 Rh
2.376 1.372 2.248 Rh
```

***

Record 7
For Tm3GaNi9B2, a crystal structure in Alexandria, relaxed with GGA-PBE gives the calculated XRD peak list in this record (λ = 1.5418 Å (Cu Kα)).

The 8 most intense peaks (5 to 70 degrees two-theta), in order of falling intensity:
- 2θ 40.4, intensity 1000
- 2θ 44.7, intensity 902
- 2θ 28.7, intensity 448
- 2θ 32.0, intensity 358
- 2θ 33.5, intensity 277
- 2θ 21.9, intensity 233
- 2θ 47.6, intensity 214
- 2θ 37.6, intensity 206

Crystal structure
```
Tm3GaNi9B2
1.0
5.349 0.000 0.000
-2.674 4.632 0.000
0.000 0.000 8.379
Tm Ga Ni B
3 1 9 2
Cartesian
0.000 0.000 0.000 Tm
0.000 3.088 5.274 Tm
2.674 1.544 3.105 Tm
0.000 0.000 4.190 Ga
-1.337 2.316 0.000 Ni
0.000 1.531 2.336 Ni
-1.348 3.867 2.336 Ni
1.326 0.765 6.043 Ni
2.674 0.000 0.000 Ni
1.337 2.316 0.000 Ni
1.348 3.867 2.336 Ni
4.023 0.765 6.043 Ni
2.674 3.101 6.043 Ni
0.000 3.088 1.209 B
2.674 1.544 7.170 B
```

***

Record 8
For Cd3GaHg5, a crystal structure in Alexandria, relaxed with GGA-PBE gives the calculated XRD peak list in this record (λ = 1.5418 Å (Cu Kα)).

The 8 most intense peaks (5 to 70 degrees two-theta), in order of falling intensity:
- 2θ 31.9, intensity 1000
- 2θ 34.2, intensity 823
- 2θ 39.9, intensity 218
- 2θ 59.7, intensity 216
- 2θ 28.8, intensity 173
- 2θ 31.4, intensity 170
- 2θ 38.3, intensity 141
- 2θ 55.4, intensity 138

Crystal structure
```
Cd3GaHg5
1.0
7.426 0.000 0.000
0.000 7.426 0.000
0.000 0.000 8.547
Cd Ga Hg
6 2 10
Cartesian
0.000 0.000 0.000 Cd
0.981 2.732 4.273 Cd
2.732 6.445 4.273 Cd
3.713 3.713 0.000 Cd
4.694 0.981 4.273 Cd
6.445 4.694 4.273 Cd
0.000 3.713 0.000 Ga
3.713 0.000 0.000 Ga
0.000 0.000 4.273 Hg
1.590 5.303 1.785 Hg
1.590 5.303 6.761 Hg
2.124 1.590 1.785 Hg
2.124 1.590 6.761 Hg
3.713 3.713 4.273 Hg
5.303 5.837 1.785 Hg
5.303 5.837 6.761 Hg
5.837 2.124 1.785 Hg
5.837 2.124 6.761 Hg
```